1.
Computed powder X-ray diffraction pattern
Compound: Sm8Co3
Radiation: Cu Kα X-rays
Structure: a cell relaxed with GGA-PBE

Top 12 peaks for 5° ≤ 2θ ≤ 70°, low angle first:
26.5 deg, I 15
29.4 deg, I 67
30.0 deg, I 100
32.0 deg, I 29
32.8 deg, I 37
40.7 deg, I 14
44.8 deg, I 16
49.8 deg, I 15
50.7 deg, I 23
51.3 deg, I 18
51.5 deg, I 18
62.3 deg, I 13

```
data_Sm8Co3
_chemical_formula_sum 'Sm8 Co3'
_space_group_name_H-M_alt 'P 1'
_space_group_IT_number 1
_cell_length_a 6.7260
_cell_length_b 6.7260
_cell_length_c 6.7260
_cell_angle_alpha 88.61
_cell_angle_beta 88.61
_cell_angle_gamma 88.61
loop_
_space_group_symop_operation_xyz
'x,y,z'
loop_
_atom_site_label
_atom_site_type_symbol
_atom_site_fract_x
_atom_site_fract_y
_atom_site_fract_z
_atom_site_occupancy
Sm1 Sm 0.1549 0.1549 0.1549 1
Sm2 Sm 0.1660 0.3334 0.6568 1
Sm3 Sm 0.3334 0.6568 0.1660 1
Sm4 Sm 0.3432 0.8340 0.6666 1
Sm5 Sm 0.6568 0.1660 0.3334 1
Sm6 Sm 0.6666 0.3432 0.8340 1
Sm7 Sm 0.8340 0.6666 0.3432 1
Sm8 Sm 0.8451 0.8451 0.8451 1
Co1 Co 0.0000 0.0000 0.5000 1
Co2 Co 0.0000 0.5000 0.0000 1
Co3 Co 0.5000 0.0000 0.0000 1
```

***

2.
Computed powder X-ray diffraction pattern
Compound: Pm2SnPd6
Radiation: Cu Kα X-rays
Structure: a cell relaxed with GGA-PBE

Top 12 peaks for 5° ≤ 2θ ≤ 70°, low angle first:
29.0 deg, I 22
32.3 deg, I 35
34.1 deg, I 21
37.2 deg, I 100
37.7 deg, I 13
38.2 deg, I 22
40.7 deg, I 74
41.7 deg, I 28
43.9 deg, I 12
45.8 deg, I 14
64.0 deg, I 13
64.7 deg, I 30

```
data_Pm2SnPd6
_chemical_formula_sum 'Pm2 Sn1 Pd6'
_space_group_name_H-M_alt 'P 1'
_space_group_IT_number 1
_cell_length_a 5.7640
_cell_length_b 5.7640
_cell_length_c 6.3294
_cell_angle_alpha 101.72
_cell_angle_beta 101.72
_cell_angle_gamma 60.65
loop_
_space_group_symop_operation_xyz
'x,y,z'
loop_
_atom_site_label
_atom_site_type_symbol
_atom_site_fract_x
_atom_site_fract_y
_atom_site_fract_z
_atom_site_occupancy
Pm1 Pm 0.1441 0.1441 0.3311 1
Pm2 Pm 0.8559 0.8559 0.6689 1
Sn1 Sn 0.5000 0.5000 0.5000 1
Pd1 Pd 0.1046 0.6329 0.1742 1
Pd2 Pd 0.3671 0.8954 0.8258 1
Pd3 Pd 0.3701 0.3701 0.8109 1
Pd4 Pd 0.6299 0.6299 0.1891 1
Pd5 Pd 0.6329 0.1046 0.1742 1
Pd6 Pd 0.8954 0.3671 0.8258 1
```